1.
BaLiN: simulated X-ray powder pattern (Cu Kα, 1.54184 Å), based on the PBE geometry in the Materials Project.
Peak positions follow from Bragg's law for the DFT cell and can differ from measured ones.

Crystal structure
```
data_BaLiN
_symmetry_space_group_name_H-M 'P n m a'
_symmetry_Int_Tables_number 62
_cell_length_a 9.9458
_cell_length_b 3.8788
_cell_length_c 6.0252
_cell_angle_alpha 90.00
_cell_angle_beta 90.00
_cell_angle_gamma 90.00
loop_
_symmetry_equiv_pos_as_xyz
'x,y,z'
'-x,-y,-z'
'-x+1/2,-y,z+1/2'
'x+1/2,y,-z+1/2'
'x+1/2,-y+1/2,-z+1/2'
'-x+1/2,y+1/2,z+1/2'
'-x,y+1/2,-z'
'x,-y+1/2,z'
loop_
_atom_site_label
_atom_site_type_symbol
_atom_site_fract_x
_atom_site_fract_y
_atom_site_fract_z
_atom_site_occupancy
Ba1 Ba 0.1609 0.2500 0.0174 1
Li1 Li 0.0285 0.2500 0.5786 1
N1 N 0.0747 0.7500 0.7223 1
```

Principal peaks in the range 2θ = 10–90°, in order of rising 2θ:
2θ (°)	I (rel.)
17.21	540
17.84	118
28.81	1000
29.20	460
29.65	260
30.78	614
42.10	454
43.22	166
52.10	162
53.31	221
54.00	215
57.11	209

***

2.
Ba4LiW2N7: simulated X-ray powder pattern (Cu Kα, 1.54184 Å), based on the PBE geometry in the Materials Project.
Peak positions follow from Bragg's law for the DFT cell and can differ from measured ones.

Crystal structure
```
data_Ba4LiW2N7
_symmetry_space_group_name_H-M 'P 1 2/c 1'
_symmetry_Int_Tables_number 13
_cell_length_a 10.4881
_cell_length_b 6.5753
_cell_length_c 17.5262
_cell_angle_alpha 90.00
_cell_angle_beta 117.30
_cell_angle_gamma 90.00
loop_
_symmetry_equiv_pos_as_xyz
'x,y,z'
'-x,-y,-z'
'-x,y,-z+1/2'
'x,-y,z+1/2'
loop_
_atom_site_label
_atom_site_type_symbol
_atom_site_fract_x
_atom_site_fract_y
_atom_site_fract_z
_atom_site_occupancy
Ba1 Ba 0.0000 0.0226 0.2500 1
Ba2 Ba 0.1967 0.1423 0.6208 1
Ba3 Ba 0.2407 0.2787 0.9841 1
Ba4 Ba 0.3490 0.2290 0.4279 1
Ba5 Ba 0.5000 0.3157 0.2500 1
Li1 Li 0.1329 0.4565 0.7608 1
W1 W 0.0179 0.3300 0.0965 1
W2 W 0.4507 0.2251 0.8446 1
N1 N 0.0000 0.5000 0.0000 1
N2 N 0.0681 0.4697 0.3471 1
N3 N 0.0766 0.0786 0.4356 1
N4 N 0.2087 0.2752 0.1711 1
N5 N 0.2530 0.1827 0.8047 1
N6 N 0.4453 0.0115 0.5835 1
N7 N 0.4842 0.4648 0.5921 1
N8 N 0.5000 0.2398 0.7500 1
```

Principal peaks in the range 2θ = 10–90°, in order of rising 2θ:
2θ (°)	I (rel.)
18.84	138
26.41	376
27.12	300
29.09	524
29.21	1000
29.50	191
31.25	278
31.78	227
34.06	146
38.22	163
44.93	170
49.20	140